# 1
Structure and computed X-ray diffraction stick pattern of U3Sb4 (the GGA-PBE geometry in the Materials Project; Cu Kα (λ = 1.5418 Å)).
Peak positions follow from Bragg's law for the DFT cell and can differ from measured ones.

Crystal structure
Unit cell a=7.883 b=7.883 c=7.883 alpha=109.47 beta=109.47 gamma=109.47
Fractional positions:
U: 0.125 0.875 0.250
U: 0.250 0.125 0.875
U: 0.375 0.625 0.750
U: 0.625 0.750 0.375
U: 0.750 0.375 0.625
U: 0.875 0.250 0.125
Sb: 0.000 0.159 0.500
Sb: 0.000 0.659 0.500
Sb: 0.159 0.500 0.000
Sb: 0.341 0.341 0.341
Sb: 0.500 0.000 0.159
Sb: 0.500 0.000 0.659
Sb: 0.659 0.500 0.000
Sb: 0.841 0.841 0.841

Largest 6 diffraction maxima, low angle first, 2θ from 10° to 90°:
- 3.716 Å, rel. 30
- 2.878 Å, rel. 100
- 2.433 Å, rel. 74
- 2.035 Å, rel. 27
- 1.477 Å, rel. 34
- 1.239 Å, rel. 21

# 2
Structure and computed X-ray diffraction stick pattern of TiB4Mo (the GGA-PBE geometry in the Materials Project; Cu Kα (λ = 1.5418 Å)).
Peak positions follow from Bragg's law for the DFT cell and can differ from measured ones.

Crystal structure
Unit cell a=3.053 b=3.053 c=6.451 alpha=90.00 beta=90.00 gamma=120.00
Fractional positions:
Ti: 0.000 0.000 0.000
B: 0.333 0.667 0.244
B: 0.333 0.667 0.756
B: 0.667 0.333 0.244
B: 0.667 0.333 0.756
Mo: 0.000 0.000 0.500

Largest 6 diffraction maxima, low angle first, 2θ from 10° to 90°:
- 6.451 Å, rel. 28
- 3.225 Å, rel. 30
- 2.644 Å, rel. 71
- 2.447 Å, rel. 18
- 2.045 Å, rel. 100
- 1.527 Å, rel. 22